ThCd2Pd9: theoretical PXRD pattern (Cu Ka), based on a GGA-PBE-relaxed structure.
Neutral-atom scattering factors, no anomalous dispersion.

Atomic structure:
```
data_ThCd2Pd9
_cell_length_a 4.143
_cell_length_b 4.143
_cell_length_c 12.036
_cell_angle_alpha 90.00
_cell_angle_beta 90.00
_cell_angle_gamma 90.00
_symmetry_space_group_name_H-M 'P 4/m m m'
_symmetry_Int_Tables_number 123
_symmetry_space_group_name_Hall '-P 4 2'
loop_
_atom_site_label
_atom_site_fract_x
_atom_site_fract_y
_atom_site_fract_z
Th1 0.000 0.000 0.000
Cd1 0.000 0.000 0.340
Pd1 0.000 0.500 0.173
Pd2 0.000 0.500 0.500
Pd3 0.500 0.500 0.000
Pd4 0.500 0.500 0.336
```

Largest 12 diffraction maxima, low angle first, 2θ = 5–70°:
2θ 7.3, d = 12.036 Å, I = 3; 2θ 14.7, d = 6.018 Å, I = 1; 2θ 21.4, d = 4.143 Å, I = 2; 2θ 22.7, d = 3.918 Å, I = 2; 2θ 26.1, d = 3.413 Å, I = 2; 2θ 31.0, d = 2.882 Å, I = 1; 2θ 34.0, d = 2.634 Å, I = 2; 2θ 38.0, d = 2.366 Å, I = 100; 2θ 43.7, d = 2.072 Å, I = 34; 2θ 45.2, d = 2.006 Å, I = 15; 2θ 63.5, d = 1.465 Å, I = 11; 2θ 64.7, d = 1.441 Å, I = 20